Theoretical powder diffraction line list
Compound: Ac4Pr2Ge3O2
Radiation: Cu Kα X-rays
Structure: a GGA-PBE-relaxed structure
Kinematic intensities with the Lorentz-polarization factor, no thermal factor.

Main lines, in order of rising 2θ (15° ≤ 2θ ≤ 90°):
26.16°, intensity 68; 28.93°, intensity 33; 33.06°, intensity 100; 35.90°, intensity 64; 50.41°, intensity 24; 62.74°, intensity 33

Crystal structure
a = 13.1278 Å, b = 13.1278 Å, c = 13.1278 Å
α = 158.03°, β = 158.03°, γ = 31.26°
Atoms (fractional coordinates):
Ac 0.0827 0.5827 0.5000
Ac 0.4173 0.9173 0.5000
Ac 0.5827 0.0827 0.5000
Ac 0.9173 0.4173 0.5000
Pr 0.2037 0.2037 0.0000
Pr 0.7963 0.7963 0.0000
Ge 0.3236 0.3236 0.0000
Ge 0.5000 0.5000 0.0000
Ge 0.6764 0.6764 0.0000
O 0.1070 0.1070 0.0000
O 0.8930 0.8930 0.0000